# 1
The following is a theoretical XRD peak list of Ba2Tl2Mo3O10. It was derived from a structure optimized by DFT (GGA+U), using Cu Kα (λ = 1.5418 Å).

Structural model:
```
data_Ba2Tl2Mo3O10
_chemical_formula_sum 'Ba2 Tl2 Mo3 O10'
_symmetry_space_group_name_H-M 'P 1'
_symmetry_Int_Tables_number 1
_cell_length_a 3.928
_cell_length_b 3.936
_cell_length_c 18.765
_cell_angle_alpha 95.54
_cell_angle_beta 94.83
_cell_angle_gamma 90.05
loop_
_symmetry_equiv_pos_as_xyz
'x,y,z'
loop_
_atom_site_label
_atom_site_type_symbol
_atom_site_fract_x
_atom_site_fract_y
_atom_site_fract_z
Ba1 Ba 0.000 0.000 0.000
Ba2 Ba 0.328 0.283 0.585
Tl1 Tl 0.440 0.416 0.852
Tl2 Tl 0.888 0.901 0.724
Mo1 Mo 0.545 0.554 0.126
Mo2 Mo 0.717 0.661 0.306
Mo3 Mo 0.777 0.724 0.459
O1 O 0.049 0.555 0.128
O2 O 0.214 0.661 0.302
O3 O 0.278 0.727 0.466
O4 O 0.389 0.236 0.726
O5 O 0.509 0.510 0.019
O6 O 0.547 0.055 0.127
O7 O 0.713 0.161 0.303
O8 O 0.782 0.232 0.477
O9 O 0.839 0.782 0.609
O10 O 0.934 0.792 0.833
```

Top 8 peaks for 2θ from 10° to 90°, by angle:
- 27.96 deg, intensity 38, hkl 1 0 3
- 28.10 deg, intensity 40, hkl 0 1 3
- 28.32 deg, intensity 40, hkl 0 1 -4
- 28.53 deg, intensity 39, hkl 1 0 -4
- 32.20 deg, intensity 100, hkl 1 -1 0
- 33.71 deg, intensity 43, hkl 0 0 7
- 46.13 deg, intensity 25, hkl 0 2 -1
- 46.23 deg, intensity 25, hkl 2 0 -1

---

# 2
The following is a theoretical XRD peak list of Ba2VMoO6. It was derived from a structure optimized by DFT (GGA+U), using Cu Kα (λ = 1.5418 Å).

Structural model:
```
data_Ba2VMoO6
_chemical_formula_sum 'Ba4 V2 Mo2 O12'
_symmetry_space_group_name_H-M 'I 4/m m m'
_symmetry_Int_Tables_number 139
_symmetry_space_group_name_Hall '-I 4 2'
_cell_length_a 5.762
_cell_length_b 5.762
_cell_length_c 8.141
_cell_angle_alpha 90.00
_cell_angle_beta 90.00
_cell_angle_gamma 90.00
loop_
_atom_site_label
_atom_site_type_symbol
_atom_site_fract_x
_atom_site_fract_y
_atom_site_fract_z
Ba1 Ba 0.000 0.500 0.250
V1 V 0.000 0.000 0.000
Mo1 Mo 0.000 0.000 0.500
O1 O 0.000 0.000 0.238
O2 O 0.237 0.237 0.000
```

Top 8 peaks for 2θ from 10° to 90°, by angle:
- 21.82 deg, intensity 5, hkl 1 1 0
- 31.05 deg, intensity 100, hkl 2 0 0
- 38.27 deg, intensity 12, hkl 2 0 2
- 44.49 deg, intensity 32, hkl 2 2 0
- 55.24 deg, intensity 38, hkl 3 1 2
- 64.73 deg, intensity 19, hkl 4 0 0
- 73.53 deg, intensity 17, hkl 4 2 0
- 81.94 deg, intensity 6, hkl 4 0 4

---

# 3
The following is a theoretical XRD peak list of Ba2YMoO6. It was derived from a structure optimized by DFT (GGA+U), using Cu Kα (λ = 1.5418 Å).

Structural model:
```
data_Ba2YMoO6
_chemical_formula_sum 'Ba8 Y4 Mo4 O24'
_symmetry_space_group_name_H-M 'F m -3 m'
_symmetry_Int_Tables_number 225
_symmetry_space_group_name_Hall '-F 4 2 3'
_cell_length_a 8.513
_cell_length_b 8.513
_cell_length_c 8.513
_cell_angle_alpha 90.00
_cell_angle_beta 90.00
_cell_angle_gamma 90.00
loop_
_atom_site_label
_atom_site_type_symbol
_atom_site_fract_x
_atom_site_fract_y
_atom_site_fract_z
Ba1 Ba 0.250 0.250 0.250
Y1 Y 0.000 0.000 0.000
Mo1 Mo 0.000 0.000 0.500
O1 O 0.000 0.000 0.264
```

Top 8 peaks for 2θ from 10° to 90°, by angle:
- 29.68 deg, intensity 100, hkl 2 2 0
- 36.57 deg, intensity 6, hkl 2 2 2
- 42.48 deg, intensity 31, hkl 4 0 0
- 52.68 deg, intensity 40, hkl 4 2 2
- 61.63 deg, intensity 19, hkl 4 4 0
- 69.89 deg, intensity 18, hkl 6 2 0
- 77.72 deg, intensity 6, hkl 4 4 4
- 85.33 deg, intensity 21, hkl 6 4 2

---

# 4
The following is a theoretical XRD peak list of Ba2ZnMoO6. It was derived from a structure optimized by DFT (GGA+U), using Cu Kα (λ = 1.5418 Å).

Structural model:
```
data_Ba2ZnMoO6
_chemical_formula_sum 'Ba8 Zn4 Mo4 O24'
_symmetry_space_group_name_H-M 'F m -3 m'
_symmetry_Int_Tables_number 225
_symmetry_space_group_name_Hall '-F 4 2 3'
_cell_length_a 8.241
_cell_length_b 8.241
_cell_length_c 8.241
_cell_angle_alpha 90.00
_cell_angle_beta 90.00
_cell_angle_gamma 90.00
loop_
_atom_site_label
_atom_site_type_symbol
_atom_site_fract_x
_atom_site_fract_y
_atom_site_fract_z
Ba1 Ba 0.250 0.250 0.250
Zn1 Zn 0.000 0.000 0.000
Mo1 Mo 0.000 0.000 0.500
O1 O 0.000 0.000 0.262
```

Top 8 peaks for 2θ from 10° to 90°, by angle:
- 30.69 deg, intensity 100, hkl 2 2 0
- 37.82 deg, intensity 9, hkl 2 2 2
- 43.95 deg, intensity 32, hkl 4 0 0
- 54.55 deg, intensity 39, hkl 4 2 2
- 63.90 deg, intensity 19, hkl 4 4 0
- 72.55 deg, intensity 17, hkl 6 2 0
- 80.80 deg, intensity 6, hkl 4 4 4
- 88.86 deg, intensity 21, hkl 6 4 2

---

# 5
The following is a theoretical XRD peak list of Ba2NiN6O12. It was derived from a structure optimized by DFT (GGA+U), using Cu Kα (λ = 1.5418 Å).

Structural model:
```
data_Ba2NiN6O12
_chemical_formula_sum 'Ba8 Ni4 N24 O48'
_symmetry_space_group_name_H-M 'F m -3 m'
_symmetry_Int_Tables_number 225
_symmetry_space_group_name_Hall '-F 4 2 3'
_cell_length_a 10.355
_cell_length_b 10.355
_cell_length_c 10.355
_cell_angle_alpha 90.00
_cell_angle_beta 90.00
_cell_angle_gamma 90.00
loop_
_atom_site_label
_atom_site_type_symbol
_atom_site_fract_x
_atom_site_fract_y
_atom_site_fract_z
Ba1 Ba 0.250 0.250 0.250
Ni1 Ni 0.000 0.000 0.000
N1 N 0.000 0.000 0.184
O1 O 0.000 0.166 0.166
```

Top 8 peaks for 2θ from 10° to 90°, by angle:
- 14.82 deg, intensity 80, hkl 1 1 1
- 17.13 deg, intensity 39, hkl 2 0 0
- 24.31 deg, intensity 100, hkl 2 2 0
- 34.65 deg, intensity 41, hkl 4 0 0
- 38.90 deg, intensity 48, hkl 4 2 0
- 42.78 deg, intensity 72, hkl 4 2 2
- 56.18 deg, intensity 35, hkl 6 2 0
- 67.72 deg, intensity 27, hkl 6 4 2

---

# 6
The following is a theoretical XRD peak list of BaNaNdWO6. It was derived from a structure optimized by DFT (GGA+U), using Cu Kα (λ = 1.5418 Å).

Structural model:
```
data_BaNaNdWO6
_chemical_formula_sum 'Ba4 Na4 Nd4 W4 O24'
_symmetry_space_group_name_H-M 'P n n n'
_symmetry_Int_Tables_number 48
_cell_length_a 8.494
_cell_length_b 8.508
_cell_length_c 8.524
_cell_angle_alpha 90.00
_cell_angle_beta 90.00
_cell_angle_gamma 90.00
loop_
_symmetry_equiv_pos_as_xyz
'x,y,z'
'-x,-y,-z'
'-x+1/2,-y+1/2,z'
'x+1/2,y+1/2,-z'
'x,-y+1/2,-z+1/2'
'-x,y+1/2,z+1/2'
'-x+1/2,y,-z+1/2'
'x+1/2,-y,z+1/2'
loop_
_atom_site_label
_atom_site_type_symbol
_atom_site_fract_x
_atom_site_fract_y
_atom_site_fract_z
Ba1 Ba 0.250 0.250 0.250
Ba2 Ba 0.250 0.250 0.750
Na1 Na 0.250 0.750 0.250
Na2 Na 0.250 0.750 0.750
Nd1 Nd 0.000 0.000 0.000
W1 W 0.000 0.000 0.500
O1 O 0.032 0.227 0.481
O2 O 0.038 0.527 0.226
O3 O 0.226 0.520 0.959
```

Top 8 peaks for 2θ from 10° to 90°, by angle:
- 20.88 deg, intensity 24, hkl 0 2 0
- 29.70 deg, intensity 100, hkl 2 0 2
- 42.46 deg, intensity 19, hkl 0 4 0
- 52.68 deg, intensity 29, hkl 2 2 4
- 52.75 deg, intensity 14, hkl 4 2 2
- 61.63 deg, intensity 11, hkl 0 4 4
- 85.30 deg, intensity 11, hkl 2 4 6
- 85.45 deg, intensity 11, hkl 4 6 2